No. 1
This entry pairs a crystal structure of LiMn2S3O12 with its theoretical powder diffractogram. Radiation: Cu Kα (weighted mean of Kα1 and Kα2). Structure: a structure optimized by DFT (GGA+U).

Principal peaks in the range 2θ = 10–90°, in order of rising 2θ:
2θ (°), intensity
14.24, 18
20.10, 32
20.28, 15
23.74, 100
28.71, 23
32.07, 30
35.51, 18
55.50, 17

Cell and atoms:
Lattice parameters (Å, degrees): 8.835 8.835 8.835 59.42 59.42 59.42
Fractional positions:
Li1 0.000 0.000 0.000
Li2 0.500 0.500 0.500
Mn1 0.145 0.145 0.145
Mn2 0.355 0.355 0.355
Mn3 0.645 0.645 0.645
Mn4 0.855 0.855 0.855
S1 0.046 0.750 0.454
S2 0.250 0.546 0.954
S3 0.454 0.046 0.750
S4 0.546 0.954 0.250
S5 0.750 0.454 0.046
S6 0.954 0.250 0.546
O1 0.009 0.808 0.603
O2 0.059 0.907 0.271
O3 0.093 0.729 0.941
O4 0.103 0.308 0.509
O5 0.192 0.397 0.991
O6 0.229 0.593 0.441
O7 0.271 0.059 0.907
O8 0.308 0.509 0.103
O9 0.397 0.991 0.192
O10 0.407 0.559 0.771
O11 0.441 0.229 0.593
O12 0.491 0.897 0.692
O13 0.509 0.103 0.308
O14 0.559 0.771 0.407
O15 0.593 0.441 0.229
O16 0.603 0.009 0.808
O17 0.692 0.491 0.897
O18 0.729 0.941 0.093
O19 0.771 0.407 0.559
O20 0.808 0.603 0.009
O21 0.897 0.692 0.491
O22 0.907 0.271 0.059
O23 0.941 0.093 0.729
O24 0.991 0.192 0.397

=====

No. 2
This entry pairs a crystal structure of Li2Mn2S3O12 with its theoretical powder diffractogram. Radiation: Cu Kα (weighted mean of Kα1 and Kα2). Structure: a structure optimized by DFT (GGA+U).

Principal peaks in the range 2θ = 10–90°, in order of rising 2θ:
2θ (°), intensity
14.27, 55
22.89, 100
24.34, 69
25.49, 86
30.08, 66
30.75, 56
32.61, 42
46.64, 30

Cell and atoms:
Lattice parameters (Å, degrees): 8.059 8.059 8.919 111.81 111.81 66.98
Fractional positions:
Li1 0.130 0.334 0.053
Li2 0.334 0.130 0.553
Li3 0.666 0.870 0.447
Li4 0.870 0.666 0.947
Mn1 0.131 0.635 0.485
Mn2 0.365 0.869 0.015
Mn3 0.635 0.131 0.985
Mn4 0.869 0.365 0.515
S1 0.062 0.938 0.250
S2 0.246 0.457 0.820
S3 0.457 0.246 0.320
S4 0.543 0.754 0.680
S5 0.754 0.543 0.180
S6 0.938 0.062 0.750
O1 0.053 0.121 0.383
O2 0.100 0.787 0.324
O3 0.121 0.053 0.883
O4 0.125 0.494 0.925
O5 0.130 0.456 0.640
O6 0.213 0.900 0.176
O7 0.264 0.380 0.308
O8 0.344 0.598 0.881
O9 0.380 0.264 0.808
O10 0.402 0.656 0.619
O11 0.456 0.130 0.140
O12 0.494 0.125 0.425
O13 0.506 0.875 0.575
O14 0.544 0.870 0.860
O15 0.598 0.344 0.381
O16 0.620 0.736 0.192
O17 0.656 0.402 0.119
O18 0.736 0.620 0.692
O19 0.787 0.100 0.824
O20 0.870 0.544 0.360
O21 0.875 0.506 0.075
O22 0.879 0.947 0.117
O23 0.900 0.213 0.676
O24 0.947 0.879 0.617

=====

No. 3
This entry pairs a crystal structure of LiMn2S2O10 with its theoretical powder diffractogram. Radiation: Cu Kα (weighted mean of Kα1 and Kα2). Structure: a structure optimized by DFT (GGA+U).

Principal peaks in the range 2θ = 10–90°, in order of rising 2θ:
2θ (°), intensity
17.46, 36
17.71, 44
18.50, 41
26.13, 76
27.74, 100
28.10, 62
28.35, 55
36.15, 41

Cell and atoms:
Lattice parameters (Å, degrees): 5.339 5.433 6.886 106.16 105.46 97.95
Fractional positions:
Li1 0.000 0.000 0.000
Mn1 0.704 0.355 0.726
Mn2 0.712 0.368 0.234
S1 0.045 0.017 0.475
S2 0.376 0.700 0.985
O1 0.008 0.184 0.331
O2 0.102 0.638 0.831
O3 0.321 0.099 0.622
O4 0.390 0.506 0.102
O5 0.419 0.974 0.130
O6 0.586 0.691 0.877
O7 0.629 0.448 0.483
O8 0.789 0.275 0.978
O9 0.856 0.047 0.602
O10 0.988 0.741 0.338

=====

No. 4
This entry pairs a crystal structure of Li2MnS2O8 with its theoretical powder diffractogram. Radiation: Cu Kα (weighted mean of Kα1 and Kα2). Structure: a structure optimized by DFT (GGA+U).

Principal peaks in the range 2θ = 10–90°, in order of rising 2θ:
2θ (°), intensity
15.53, 100
21.51, 28
23.06, 83
23.99, 90
25.30, 40
29.55, 46
31.35, 38
35.56, 33

Cell and atoms:
Lattice parameters (Å, degrees): 5.056 8.436 9.034 90.00 120.95 90.00
Fractional positions:
Li1 0.021 0.133 0.104
Li2 0.021 0.367 0.604
Li3 0.979 0.633 0.396
Li4 0.979 0.867 0.896
Mn1 0.000 0.000 0.500
Mn2 0.000 0.500 0.000
S1 0.326 0.697 0.796
S2 0.326 0.803 0.296
S3 0.674 0.197 0.704
S4 0.674 0.303 0.204
O1 0.175 0.586 0.649
O2 0.175 0.914 0.149
O3 0.191 0.641 0.243
O4 0.191 0.859 0.743
O5 0.275 0.648 0.938
O6 0.275 0.852 0.438
O7 0.336 0.200 0.637
O8 0.336 0.300 0.137
O9 0.664 0.700 0.863
O10 0.664 0.800 0.363
O11 0.725 0.148 0.562
O12 0.725 0.352 0.062
O13 0.809 0.141 0.257
O14 0.809 0.359 0.757
O15 0.825 0.086 0.851
O16 0.825 0.414 0.351

=====

No. 5
This entry pairs a crystal structure of Sr2Li4MnS3O2 with its theoretical powder diffractogram. Radiation: Cu Kα (weighted mean of Kα1 and Kα2). Structure: a structure optimized by DFT (GGA+U).

Principal peaks in the range 2θ = 10–90°, in order of rising 2θ:
2θ (°), intensity
19.89, 14
28.28, 65
33.96, 100
40.42, 46
42.00, 19
53.79, 50
58.49, 14
83.50, 14

Cell and atoms:
Lattice parameters (Å, degrees): 4.463 4.463 9.819 90.00 90.00 90.00
Fractional positions:
Sr1 0.000 0.000 0.146
Sr2 0.000 0.000 0.854
Li1 0.000 0.500 0.376
Li2 0.000 0.500 0.624
Li3 0.500 0.000 0.376
Li4 0.500 0.000 0.624
Mn1 0.500 0.500 0.000
S1 0.000 0.000 0.500
S2 0.500 0.500 0.308
S3 0.500 0.500 0.692
O1 0.000 0.500 0.000
O2 0.500 0.000 0.000

=====

No. 6
This entry pairs a crystal structure of Li6Mn5SbO12 with its theoretical powder diffractogram. Radiation: Cu Kα (weighted mean of Kα1 and Kα2). Structure: a structure optimized by DFT (GGA+U).

Principal peaks in the range 2θ = 10–90°, in order of rising 2θ:
2θ (°), intensity
17.02, 100
34.33, 13
34.67, 14
35.59, 22
39.47, 13
41.34, 22
44.53, 19
58.64, 13

Cell and atoms:
Lattice parameters (Å, degrees): 5.533 9.077 10.540 90.00 98.70 90.00
Fractional positions:
Li1 0.246 0.000 0.284
Li2 0.249 0.166 0.712
Li3 0.249 0.327 0.285
Li4 0.251 0.665 0.288
Li5 0.251 0.827 0.715
Li6 0.254 0.499 0.716
Li7 0.746 0.499 0.284
Li8 0.749 0.665 0.712
Li9 0.749 0.827 0.285
Li10 0.751 0.166 0.288
Li11 0.751 0.327 0.715
Li12 0.754 0.000 0.716
Mn1 0.000 0.165 0.000
Mn2 0.000 0.331 0.500
Mn3 0.000 0.664 0.500
Mn4 0.000 0.829 0.000
Mn5 0.000 0.997 0.500
Mn6 0.500 0.164 0.500
Mn7 0.500 0.330 0.000
Mn8 0.500 0.497 0.500
Mn9 0.500 0.666 0.000
Mn10 0.500 0.831 0.500
Sb1 0.000 0.500 0.000
Sb2 0.500 0.001 0.000
O1 0.092 0.497 0.391
O2 0.100 0.818 0.384
O3 0.101 0.177 0.385
O4 0.166 0.330 0.102
O5 0.186 0.651 0.110
O6 0.207 0.009 0.099
O7 0.293 0.510 0.901
O8 0.315 0.152 0.890
O9 0.333 0.830 0.898
O10 0.398 0.677 0.615
O11 0.401 0.318 0.616
O12 0.408 0.997 0.609
O13 0.592 0.997 0.391
O14 0.599 0.318 0.384
O15 0.602 0.677 0.385
O16 0.667 0.830 0.102
O17 0.685 0.152 0.110
O18 0.707 0.510 0.099
O19 0.793 0.009 0.901
O20 0.814 0.651 0.890
O21 0.834 0.330 0.898
O22 0.899 0.177 0.615
O23 0.900 0.818 0.616
O24 0.908 0.497 0.609